# 1
Simulated X-ray diffraction stick pattern
Compound: La3Sn
Radiation: Cu Kα X-rays
Structure: a cell relaxed with PBE
Peak positions follow from Bragg's law for the DFT cell and can differ from measured ones.

Structural model:
Unit cell a=4.9610 b=4.9610 c=10.3878 alpha=90.00 beta=90.00 gamma=90.00
Space group I4/mmm (No. 139)
Symmetry-distinct sites (fractional):
La1 0.0000 0.0000 0.0000 [2 per cell]
La2 0.0000 0.5000 0.2500 [4 per cell]
Sn1 0.0000 0.0000 0.5000 [2 per cell]

Main lines, sorted by position (10 to 80 degrees two-theta):
2theta  I (rel.)  hkl
30.76  100  1 1 2
34.54  18  0 0 4
36.21  32  2 0 0
50.91  25  2 0 4
52.15  11  2 2 0
59.55  15  1 1 6
61.77  27  3 1 2
64.06  12  2 2 4

# 2
Simulated X-ray diffraction stick pattern
Compound: La11Sn10
Radiation: Cu Kα X-rays
Structure: a cell relaxed with PBE
Peak positions follow from Bragg's law for the DFT cell and can differ from measured ones.

Structural model:
Unit cell a=12.1746 b=12.1746 c=18.4060 alpha=90.00 beta=90.00 gamma=90.00
Space group I4/mmm (No. 139)
Symmetry-distinct sites (fractional):
La1 0.0000 0.0000 0.1607 [4 per cell]
La2 0.0000 0.2513 0.3090 [16 per cell]
La3 0.0000 0.3224 0.1027 [16 per cell]
La4 0.1777 0.1777 0.5000 [8 per cell]
Sn1 0.0000 0.0000 0.3924 [4 per cell]
Sn2 0.0000 0.3653 0.5000 [8 per cell]
Sn3 0.0000 0.5000 0.2500 [4 per cell]
Sn4 0.1228 0.1228 0.0000 [8 per cell]
Sn5 0.2094 0.2094 0.1800 [16 per cell]

Main lines, sorted by position (10 to 80 degrees two-theta):
2theta  I (rel.)  hkl
29.30  84  4 0 0
30.23  100  3 2 3
30.95  43  4 0 2
31.17  42  3 3 0
32.69  25  3 3 2
32.85  37  3 0 5
39.83  22  5 0 3
44.65  18  6 0 0

# 3
Simulated X-ray diffraction stick pattern
Compound: La3Sn4
Radiation: Cu Kα X-rays
Structure: a cell relaxed with PBE
Peak positions follow from Bragg's law for the DFT cell and can differ from measured ones.

Structural model:
Unit cell a=4.5645 b=11.9794 c=16.0081 alpha=90.00 beta=90.00 gamma=90.00
Space group Cmcm (No. 63)
Symmetry-distinct sites (fractional):
La1 0.0000 0.0441 0.2500 [4 per cell]
La2 0.0000 0.3278 0.0975 [8 per cell]
Sn1 0.0000 0.0000 0.0000 [4 per cell]
Sn2 0.0000 0.2262 0.7500 [4 per cell]
Sn3 0.0000 0.3838 0.6072 [8 per cell]

Main lines, sorted by position (10 to 80 degrees two-theta):
2theta  I (rel.)  hkl
26.77  26  0 2 4
29.73  63  1 3 0
30.36  25  0 4 1
30.63  100  1 1 4
34.25  47  1 3 3
37.49  40  0 4 4
39.48  36  2 0 0
55.59  22  2 4 4

# 4
Simulated X-ray diffraction stick pattern
Compound: La7Sn3
Radiation: Cu Kα X-rays
Structure: a cell relaxed with PBE
Peak positions follow from Bragg's law for the DFT cell and can differ from measured ones.

Structural model:
Unit cell a=18.6850 b=5.0826 c=7.0769 alpha=90.00 beta=106.98 gamma=90.00
Space group C2/m (No. 12)
Symmetry-distinct sites (fractional):
La1 0.0000 0.0000 0.0000 [2 per cell]
La2 0.0854 0.5000 0.3051 [4 per cell]
La3 0.1221 0.5000 0.8363 [4 per cell]
La4 0.2012 0.0000 0.6401 [4 per cell]
Sn1 0.0000 0.0000 0.5000 [2 per cell]
Sn2 0.1875 0.0000 0.1505 [4 per cell]

Main lines, sorted by position (10 to 80 degrees two-theta):
2theta  I (rel.)  hkl
30.58  99  5 1 0
30.91  100  1 1 -2
33.79  31  6 0 -2
35.32  40  0 2 0
37.74  25  4 0 2
49.68  21  6 2 -2
52.65  19  4 2 2
60.47  14  5 3 0

# 5
Simulated X-ray diffraction stick pattern
Compound: SrLaSn2
Radiation: Cu Kα X-rays
Structure: a cell relaxed with PBE
Peak positions follow from Bragg's law for the DFT cell and can differ from measured ones.

Structural model:
Unit cell a=4.4525 b=6.5166 c=9.1587 alpha=90.00 beta=90.00 gamma=90.00
Space group Pmc2_1 (No. 26)
Symmetry-distinct sites (fractional):
Sr1 0.0000 0.1291 0.0000 [2 per cell]
La1 0.5000 0.3629 0.6345 [2 per cell]
Sn1 0.0000 0.4035 0.3570 [2 per cell]
Sn2 0.5000 0.1177 0.2800 [2 per cell]

Main lines, sorted by position (10 to 80 degrees two-theta):
2theta  I (rel.)  hkl
26.12  30  1 1 1
27.95  72  1 0 2
29.09  56  0 2 1
31.20  98  1 1 2
32.38  46  0 1 3
35.52  100  1 2 1
40.52  40  2 0 0
41.82  28  0 1 4

# 6
Simulated X-ray diffraction stick pattern
Compound: LaTb2Sn
Radiation: Cu Kα X-rays
Structure: a cell relaxed with PBE
Peak positions follow from Bragg's law for the DFT cell and can differ from measured ones.

Structural model:
Unit cell a=4.7626 b=4.7905 c=11.5754 alpha=90.00 beta=101.80 gamma=90.00
Space group P2_1/m (No. 11)
Symmetry-distinct sites (fractional):
La1 0.1919 0.2500 0.3860 [2 per cell]
Tb1 0.0574 0.7500 0.1153 [2 per cell]
Tb2 0.4377 0.7500 0.8748 [2 per cell]
Sn1 0.3403 0.2500 0.6781 [2 per cell]

Main lines, sorted by position (10 to 80 degrees two-theta):
2theta  I (rel.)  hkl
28.96  82  1 1 -2
31.58  32  0 0 4
33.08  100  1 1 2
37.55  30  0 2 0
37.78  29  2 0 -1
49.86  18  0 2 4
50.04  18  2 0 -5
54.32  21  2 2 -1

# 7
Simulated X-ray diffraction stick pattern
Compound: LaTcSn
Radiation: Cu Kα X-rays
Structure: a cell relaxed with PBE
Peak positions follow from Bragg's law for the DFT cell and can differ from measured ones.

Structural model:
Unit cell a=6.5473 b=11.8465 c=7.6301 alpha=90.00 beta=90.00 gamma=90.00
Space group Cmce (No. 64)
Symmetry-distinct sites (fractional):
La1 0.0000 0.2000 0.0881 [8 per cell]
Tc1 0.0000 0.1070 0.4752 [8 per cell]
Sn1 0.2500 0.0342 0.7500 [8 per cell]

Main lines, sorted by position (10 to 80 degrees two-theta):
2theta  I (rel.)  hkl
27.82  49  0 2 2
28.10  47  1 1 2
31.22  75  2 2 0
32.43  41  0 4 1
36.16  100  2 0 2
38.50  56  0 2 3
42.26  75  1 5 1
55.27  42  2 4 3

# 8
Simulated X-ray diffraction stick pattern
Compound: La2TcSnW
Radiation: Cu Kα X-rays
Structure: a cell relaxed with PBE
Peak positions follow from Bragg's law for the DFT cell and can differ from measured ones.

Structural model:
Unit cell a=5.6154 b=5.6154 c=4.6951 alpha=90.00 beta=90.00 gamma=90.00
Space group P4/mmm (No. 123)
Symmetry-distinct sites (fractional):
La1 0.0000 0.5000 0.0000 [2 per cell]
Tc1 0.0000 0.0000 0.5000 [1 per cell]
Sn1 0.5000 0.5000 0.5000 [1 per cell]
W1 0.0000 0.0000 0.0000 [1 per cell]

Main lines, sorted by position (10 to 80 degrees two-theta):
2theta  I (rel.)  hkl
15.78  31  1 0 0
24.72  33  1 0 1
29.46  54  1 1 1
31.87  100  2 0 0
38.34  30  0 0 2
45.70  37  2 2 0
50.69  55  2 0 2
61.13  31  2 2 2

# 9
Simulated X-ray diffraction stick pattern
Compound: LaThSn
Radiation: Cu Kα X-rays
Structure: a cell relaxed with PBE
Peak positions follow from Bragg's law for the DFT cell and can differ from measured ones.

Structural model:
Unit cell a=11.1017 b=4.2334 c=8.5184 alpha=90.00 beta=112.32 gamma=90.00
Space group C2/m (No. 12)
Symmetry-distinct sites (fractional):
La1 0.1519 0.0000 0.0785 [4 per cell]
Th1 0.1495 0.0000 0.5714 [4 per cell]
Sn1 0.0013 0.5000 0.7473 [4 per cell]

Main lines, sorted by position (10 to 80 degrees two-theta):
2theta  I (rel.)  hkl
29.76  98  1 1 -2
33.52  33  2 0 2
33.67  100  4 0 -2
42.45  19  2 0 -4
42.72  19  0 2 0
55.15  16  1 1 4
55.35  33  5 1 -4
55.45  16  4 2 -2

# 10
Simulated X-ray diffraction stick pattern
Compound: La2Tl3Sn
Radiation: Cu Kα X-rays
Structure: a cell relaxed with PBE
Peak positions follow from Bragg's law for the DFT cell and can differ from measured ones.

Structural model:
Unit cell a=3.6948 b=5.2788 c=9.1430 alpha=90.00 beta=90.00 gamma=90.00
Space group Pmm2 (No. 25)
Symmetry-distinct sites (fractional):
La1 0.0000 0.0000 0.0000 [1 per cell]
La2 0.0000 0.5000 0.4897 [1 per cell]
Tl1 0.5000 0.0000 0.6617 [1 per cell]
Tl2 0.5000 0.5000 0.1592 [1 per cell]
Tl3 0.5000 0.5000 0.8260 [1 per cell]
Sn1 0.5000 0.0000 0.3286 [1 per cell]

Main lines, sorted by position (10 to 80 degrees two-theta):
2theta  I (rel.)  hkl
24.09  15  1 0 0
31.12  100  1 1 1
33.97  97  0 2 0
42.07  22  1 1 3
46.73  33  1 2 2
59.02  33  1 3 1
60.78  18  0 3 3
61.24  36  2 2 0

# 11
Simulated X-ray diffraction stick pattern
Compound: La12Tl2Sn5
Radiation: Cu Kα X-rays
Structure: a cell relaxed with PBE
Peak positions follow from Bragg's law for the DFT cell and can differ from measured ones.

Structural model:
Unit cell a=17.7470 b=7.5337 c=10.7566 alpha=90.00 beta=102.01 gamma=90.00
Space group C2/m (No. 12)
Symmetry-distinct sites (fractional):
La1 0.0158 0.0000 0.2306 [4 per cell]
La2 0.0990 0.5000 0.7888 [4 per cell]
La3 0.1430 0.2275 0.5386 [8 per cell]
La4 0.1830 0.2382 0.0786 [8 per cell]
Tl1 0.0000 0.2985 0.0000 [4 per cell]
Sn1 0.0000 0.5000 0.5000 [2 per cell]
Sn2 0.1677 0.0000 0.8031 [4 per cell]
Sn3 0.2190 0.0000 0.3344 [4 per cell]

Main lines, sorted by position (10 to 80 degrees two-theta):
2theta  I (rel.)  hkl
20.37  28  1 1 -2
29.16  100  0 2 2
29.73  25  2 2 -2
30.17  23  5 1 -2
30.91  28  6 0 0
32.12  27  6 0 -2
33.48  54  2 0 -4
33.73  51  4 2 1

# 12
Simulated X-ray diffraction stick pattern
Compound: La3TlSn2
Radiation: Cu Kα X-rays
Structure: a cell relaxed with PBE
Peak positions follow from Bragg's law for the DFT cell and can differ from measured ones.

Structural model:
Unit cell a=13.1184 b=4.8214 c=12.4038 alpha=90.00 beta=90.00 gamma=90.00
Space group Pnma (No. 62)
Symmetry-distinct sites (fractional):
La1 0.0408 0.2500 0.1210 [4 per cell]
La2 0.1307 0.7500 0.5688 [4 per cell]
La3 0.2026 0.2500 0.8115 [4 per cell]
Tl1 0.1455 0.2500 0.3563 [4 per cell]
Sn1 0.0078 0.7500 0.3205 [4 per cell]
Sn2 0.1856 0.7500 0.0262 [4 per cell]

Main lines, sorted by position (10 to 80 degrees two-theta):
2theta  I (rel.)  hkl
27.08  31  2 1 2
28.45  29  0 1 3
29.60  26  1 0 4
31.15  100  3 1 2
33.84  23  4 1 1
37.10  16  2 1 4
37.29  39  0 2 0
57.29  16  3 2 5

Repeat the second record exactly.
Simulated X-ray diffraction stick pattern
Compound: La11Sn10
Radiation: Cu Kα X-rays
Structure: a cell relaxed with PBE
Peak positions follow from Bragg's law for the DFT cell and can differ from measured ones.

Structural model:
Unit cell a=12.1746 b=12.1746 c=18.4060 alpha=90.00 beta=90.00 gamma=90.00
Space group I4/mmm (No. 139)
Symmetry-distinct sites (fractional):
La1 0.0000 0.0000 0.1607 [4 per cell]
La2 0.0000 0.2513 0.3090 [16 per cell]
La3 0.0000 0.3224 0.1027 [16 per cell]
La4 0.1777 0.1777 0.5000 [8 per cell]
Sn1 0.0000 0.0000 0.3924 [4 per cell]
Sn2 0.0000 0.3653 0.5000 [8 per cell]
Sn3 0.0000 0.5000 0.2500 [4 per cell]
Sn4 0.1228 0.1228 0.0000 [8 per cell]
Sn5 0.2094 0.2094 0.1800 [16 per cell]

Main lines, sorted by position (10 to 80 degrees two-theta):
2theta  I (rel.)  hkl
29.30  84  4 0 0
30.23  100  3 2 3
30.95  43  4 0 2
31.17  42  3 3 0
32.69  25  3 3 2
32.85  37  3 0 5
39.83  22  5 0 3
44.65  18  6 0 0